For DyMg2Ir, the PBE geometry in Alexandria gives the theoretical powder X-ray diffraction pattern in this record (Cu Kα X-rays).
Kinematic intensities with the Lorentz-polarization factor, no thermal factor.

Crystal structure
```
data_DyMg2Ir
_chemical_formula_sum 'Dy8 Mg16 Ir8'
_cell_length_a 15.3175
_cell_length_b 8.4029
_cell_length_c 5.3571
_cell_angle_alpha 90.00
_cell_angle_beta 90.00
_cell_angle_gamma 90.00
_space_group_name_H-M_alt 'P n m a'
_space_group_IT_number 62
loop_
_space_group_symop_operation_xyz
'x,y,z'
'-x,-y,-z'
'-x+1/2,-y,z+1/2'
'x+1/2,y,-z+1/2'
'x+1/2,-y+1/2,-z+1/2'
'-x+1/2,y+1/2,z+1/2'
'-x,y+1/2,-z'
'x,-y+1/2,z'
loop_
_atom_site_label
_atom_site_type_symbol
_atom_site_fract_x
_atom_site_fract_y
_atom_site_fract_z
Dy1 Dy 0.1066 0.2500 0.2451
Dy2 Dy 0.1368 0.7500 0.0484
Mg1 Mg 0.0416 0.0560 0.7325
Mg2 Mg 0.2115 0.5566 0.5357
Ir1 Ir 0.0658 0.7500 0.5491
Ir2 Ir 0.1886 0.2500 0.7336
```

Main lines, by angle (15 to 90 degrees two-theta):
2theta  d_spacing  I_rel
21.15  4.201  100
22.86  3.891  34
31.61  2.830  24
35.40  2.535  27
37.13  2.421  75
48.50  1.877  28